1.
Computed PXRD pattern of CsCrGaS4 for Cu Kα, from a crystal structure in Alexandria, relaxed with PBE.

Most intense lines, 2θ = 10–80°, most intense first:
| 2θ/deg | I/Imax |
| --- | --- |
| 22.43 | 100 |
| 27.16 | 90 |
| 24.76 | 75 |
| 24.34 | 71 |
| 19.45 | 69 |
| 36.81 | 51 |
| 52.23 | 44 |
| 21.67 | 40 |
| 30.63 | 38 |
| 32.16 | 38 |

Structure:
a = 6.3569 Å, b = 6.5656 Å, c = 8.6100 Å
α = 90.00°, β = 93.25°, γ = 90.00°
Positions (direct):
Cs: 0.2272 0.2500 0.0631
Cs: 0.7728 0.7500 0.9369
Cr: 0.1596 0.7500 0.4642
Cr: 0.8404 0.2500 0.5358
Ga: 0.3577 0.2500 0.6328
Ga: 0.6423 0.7500 0.3672
S: 0.0904 0.0085 0.6593
S: 0.0904 0.4915 0.6593
S: 0.3355 0.7500 0.2201
S: 0.4849 0.7500 0.5938
S: 0.5151 0.2500 0.4062
S: 0.6645 0.2500 0.7799
S: 0.9096 0.5085 0.3407
S: 0.9096 0.9915 0.3407

***

2.
Computed PXRD pattern of Cs3CrH7 for Cu Kα, from a crystal structure in Alexandria, relaxed with PBE.

Most intense lines, 2θ = 10–80°, most intense first:
| 2θ/deg | I/Imax |
| --- | --- |
| 25.69 | 100 |
| 27.86 | 32 |
| 28.79 | 27 |
| 30.23 | 25 |
| 23.79 | 24 |
| 42.23 | 19 |
| 49.16 | 16 |
| 47.14 | 16 |
| 37.68 | 15 |
| 20.75 | 14 |

Structure:
a = 8.3633 Å, b = 8.3633 Å, c = 6.2021 Å
α = 90.00°, β = 90.00°, γ = 90.00°
Positions (direct):
Cs: 0.0000 0.0000 0.0000
Cs: 0.1892 0.3108 0.5000
Cs: 0.3108 0.8108 0.5000
Cs: 0.5000 0.5000 0.0000
Cs: 0.6892 0.1892 0.5000
Cs: 0.8108 0.6892 0.5000
Cr: 0.0000 0.5000 0.0000
Cr: 0.5000 0.0000 0.0000
H: 0.0000 0.0000 0.5000
H: 0.1011 0.6011 0.1989
H: 0.1011 0.6011 0.8011
H: 0.1446 0.3554 0.0000
H: 0.3554 0.8554 0.0000
H: 0.3989 0.1011 0.1989
H: 0.3989 0.1011 0.8011
H: 0.5000 0.5000 0.5000
H: 0.6011 0.8989 0.1989
H: 0.6011 0.8989 0.8011
H: 0.6446 0.1446 0.0000
H: 0.8554 0.6446 0.0000
H: 0.8989 0.3989 0.1989
H: 0.8989 0.3989 0.8011